# Li9Ti7Cr6O30
Simulated X-ray powder pattern, λ = 1.5418 Å (Cu Kα). Input: a crystal structure in the Materials Project, relaxed with GGA+U.
Intensities are scaled so that the largest is 100.

Largest 10 diffraction maxima, by angle, 2θ from 5° to 70°:
21.56 deg, rel. 49, (0 1 2); 23.21 deg, rel. 100, (1 0 3); 27.86 deg, rel. 34, (0 1 5); 33.74 deg, rel. 53, (0 1 7); 35.29 deg, rel. 55, (1 1 0); 36.99 deg, rel. 27, (1 0 8); 40.40 deg, rel. 51, (2 -1 5); 49.62 deg, rel. 31, (2 0 7); 53.31 deg, rel. 62, (2 -1 10); 63.34 deg, rel. 42, (3 0 0)

Crystal structure
```
data_Li9Ti7Cr6O30
_symmetry_space_group_name_H-M 'P 3'
_symmetry_Int_Tables_number 143
_cell_length_a 5.0868
_cell_length_b 5.0868
_cell_length_c 23.3124
_cell_angle_alpha 90.00
_cell_angle_beta 90.00
_cell_angle_gamma 120.00
loop_
_symmetry_equiv_pos_as_xyz
'x,y,z'
'-y,x-y,z'
'-x+y,-x,z'
loop_
_atom_site_label
_atom_site_type_symbol
_atom_site_fract_x
_atom_site_fract_y
_atom_site_fract_z
Li1 Li 0.0000 0.0000 0.0000
Li2 Li 0.0000 0.0000 0.1696
Li3 Li 0.0000 0.0000 0.4683
Li4 Li 0.0000 0.0000 0.7129
Li5 Li 0.3333 0.6667 0.2299
Li6 Li 0.3333 0.6667 0.6213
Li7 Li 0.6667 0.3333 0.2951
Li8 Li 0.6667 0.3333 0.5436
Li9 Li 0.6667 0.3333 0.9449
Ti1 Ti 0.3333 0.6667 0.0919
Ti2 Ti 0.3333 0.6667 0.3743
Ti3 Ti 0.3333 0.6667 0.7763
Ti4 Ti 0.6667 0.3333 0.0686
Ti5 Ti 0.6667 0.3333 0.1939
Ti6 Ti 0.6667 0.3333 0.4034
Ti7 Ti 0.6667 0.3333 0.7986
Cr1 Cr 0.0000 0.0000 0.2897
Cr2 Cr 0.0000 0.0000 0.5891
Cr3 Cr 0.0000 0.0000 0.8765
Cr4 Cr 0.3333 0.6667 0.5005
Cr5 Cr 0.3333 0.6667 0.9636
Cr6 Cr 0.6667 0.3333 0.6754
O1 O 0.0012 0.3300 0.8310
O2 O 0.0136 0.3905 0.0296
O3 O 0.0164 0.3909 0.4390
O4 O 0.0439 0.7101 0.9329
O5 O 0.0439 0.7106 0.5403
O6 O 0.3318 0.0465 0.2357
O7 O 0.3337 0.0454 0.6359
O8 O 0.3409 0.3334 0.3413
O9 O 0.3866 0.3729 0.1303
O10 O 0.3952 0.3811 0.7362
```